Simulated powder X-ray diffraction pattern
Compound: Ba4CaCu2CO9
Radiation: Cu Kα X-rays
Structure: a crystal structure in the Materials Project, relaxed with PBE

Crystal structure
a = 8.3116 Å, b = 5.8543 Å, c = 5.8543 Å
α = 88.16°, β = 90.00°, γ = 90.00°
Atoms (fractional coordinates):
Ba1 0.2322 0.2473 0.7527
Ba2 0.2322 0.7527 0.2473
Ba3 0.7678 0.2473 0.7527
Ba4 0.7678 0.7527 0.2473
Ca1 0.0000 0.7457 0.7457
Cu1 0.0000 0.2481 0.2481
Cu2 0.5000 0.7424 0.7424
C1 0.5000 0.2437 0.2437
O1 0.0000 0.0213 0.4733
O2 0.0000 0.0243 0.0243
O3 0.0000 0.4706 0.4706
O4 0.0000 0.4733 0.0213
O5 0.2811 0.7455 0.7455
O6 0.3637 0.3200 0.3200
O7 0.5000 0.0887 0.0887
O8 0.6363 0.3200 0.3200
O9 0.7189 0.7455 0.7455

Peak list (10 most intense, 2θ = 10–90°, by angle)
30.2 deg, I 92.5; 30.6 deg, I 100.0; 30.7 deg, I 94.6; 37.6 deg, I 41.7; 43.0 deg, I 24.2; 43.6 deg, I 20.4; 44.5 deg, I 27.2; 53.8 deg, I 34.9; 54.1 deg, I 28.8; 54.7 deg, I 33.5

=====

Simulated powder X-ray diffraction pattern
Compound: Sm2CdSb4
Radiation: Cu Kα X-rays
Structure: a crystal structure in the Materials Project, relaxed with PBE

Crystal structure
a = 4.3518 Å, b = 4.3518 Å, c = 10.7579 Å
α = 90.00°, β = 90.00°, γ = 90.00°
Atoms (fractional coordinates):
Sm1 0.0000 0.5000 0.2330
Sm2 0.5000 0.0000 0.7670
Cd1 0.5000 0.5000 0.5000
Sb1 0.0000 0.0000 0.0000
Sb2 0.0000 0.5000 0.6762
Sb3 0.5000 0.0000 0.3238
Sb4 0.5000 0.5000 0.0000

Peak list (10 most intense, 2θ = 10–90°, by angle)
26.3 deg, I 23.6; 32.3 deg, I 12.4; 33.3 deg, I 12.7; 33.6 deg, I 100.0; 39.4 deg, I 14.3; 41.5 deg, I 35.4; 47.1 deg, I 11.6; 54.2 deg, I 12.5; 60.1 deg, I 11.7; 70.7 deg, I 22.4

=====

Simulated powder X-ray diffraction pattern
Compound: Sr2Mg3H10
Radiation: Cu Kα X-rays
Structure: a crystal structure in the Materials Project, relaxed with PBE

Crystal structure
a = 9.2177 Å, b = 9.2177 Å, c = 7.4850 Å
α = 110.13°, β = 110.13°, γ = 36.03°
Atoms (fractional coordinates):
Sr1 0.1167 0.1167 0.2207
Sr2 0.2190 0.2190 0.8112
Sr3 0.7810 0.7810 0.1888
Sr4 0.8833 0.8833 0.7793
Mg1 0.2423 0.7577 0.5000
Mg2 0.3260 0.3260 0.4819
Mg3 0.4246 0.4246 0.0536
Mg4 0.5754 0.5754 0.9464
Mg5 0.6740 0.6740 0.5181
Mg6 0.7577 0.2423 0.5000
H1 0.0000 0.5000 0.5000
H2 0.0164 0.0164 0.6891
H3 0.1004 0.5912 0.0159
H4 0.1141 0.6596 0.4742
H5 0.2629 0.2629 0.2146
H6 0.2690 0.7310 0.0000
H7 0.3404 0.8859 0.5258
H8 0.3643 0.3643 0.7581
H9 0.4088 0.8996 0.9841
H10 0.4783 0.4783 0.3228
H11 0.5000 0.0000 0.5000
H12 0.5217 0.5217 0.6772
H13 0.5912 0.1004 0.0159
H14 0.6357 0.6357 0.2419
H15 0.6596 0.1141 0.4742
H16 0.7310 0.2690 0.0000
H17 0.7371 0.7371 0.7854
H18 0.8859 0.3404 0.5258
H19 0.8996 0.4088 0.9841
H20 0.9836 0.9836 0.3109

Peak list (10 most intense, 2θ = 10–90°, by angle)
10.8 deg, I 16.0; 22.6 deg, I 17.6; 22.8 deg, I 22.0; 28.8 deg, I 100.0; 29.4 deg, I 61.9; 30.6 deg, I 45.0; 31.4 deg, I 30.2; 40.9 deg, I 14.9; 44.4 deg, I 23.9; 54.3 deg, I 16.5

=====

Simulated powder X-ray diffraction pattern
Compound: Os2PtC10O10
Radiation: Cu Kα X-rays
Structure: a crystal structure in the Materials Project, relaxed with PBE

Crystal structure
a = 7.1447 Å, b = 9.1185 Å, c = 13.0725 Å
α = 81.32°, β = 81.62°, γ = 74.32°
Atoms (fractional coordinates):
Os1 0.0821 0.1652 0.1513
Os2 0.1253 0.6195 0.6983
Os3 0.8747 0.3805 0.3017
Os4 0.9179 0.8348 0.8487
Pt1 0.1437 0.1128 0.3592
Pt2 0.8563 0.8872 0.6408
C1 0.0288 0.7141 0.9693
C2 0.0914 0.4795 0.2764
C3 0.1204 0.1615 0.4981
C4 0.1225 0.9447 0.8135
C5 0.2222 0.5236 0.5744
C6 0.2460 0.9922 0.0889
C7 0.2750 0.4807 0.8010
C8 0.2997 0.2608 0.1400
C9 0.3064 0.7489 0.6556
C10 0.3322 0.9201 0.3498
C11 0.6678 0.0799 0.6502
C12 0.6936 0.2511 0.3444
C13 0.7003 0.7392 0.8600
C14 0.7250 0.5193 0.1990
C15 0.7540 0.0078 0.9111
C16 0.7778 0.4764 0.4256
C17 0.8775 0.0553 0.1865
C18 0.8796 0.8385 0.5019
C19 0.9086 0.5205 0.7236
C20 0.9712 0.2859 0.0307
O1 0.0966 0.6393 0.0415
O2 0.1085 0.1931 0.5818
O3 0.2140 0.5432 0.2679
O4 0.2368 0.0171 0.7981
O5 0.2834 0.4683 0.4977
O6 0.3413 0.8880 0.0477
O7 0.3605 0.4009 0.8658
O8 0.4171 0.8215 0.6219
O9 0.4351 0.3106 0.1303
O10 0.4500 0.8047 0.3471
O11 0.5500 0.1953 0.6529
O12 0.5649 0.6894 0.8697
O13 0.5829 0.1785 0.3781
O14 0.6395 0.5991 0.1342
O15 0.6587 0.1120 0.9523
O16 0.7166 0.5317 0.5023
O17 0.7632 0.9829 0.2019
O18 0.7860 0.4568 0.7321
O19 0.8915 0.8069 0.4182
O20 0.9034 0.3607 0.9585

Peak list (10 most intense, 2θ = 10–90°, by angle)
11.6 deg, I 49.4; 12.9 deg, I 100.0; 13.8 deg, I 16.3; 14.7 deg, I 51.5; 17.0 deg, I 40.5; 21.2 deg, I 14.2; 26.9 deg, I 9.6; 27.7 deg, I 14.3; 28.8 deg, I 33.4; 35.3 deg, I 16.2

=====

Simulated powder X-ray diffraction pattern
Compound: Li2S2O7
Radiation: Cu Kα X-rays
Structure: a crystal structure in the Materials Project, relaxed with PBE

Crystal structure
a = 13.3572 Å, b = 8.3699 Å, c = 4.9316 Å
α = 90.00°, β = 90.00°, γ = 90.00°
Atoms (fractional coordinates):
Li1 0.1038 0.0685 0.1010
Li2 0.1038 0.4315 0.1010
Li3 0.3962 0.5685 0.6010
Li4 0.3962 0.9315 0.6010
Li5 0.6038 0.0685 0.3990
Li6 0.6038 0.4315 0.3990
Li7 0.8962 0.5685 0.8990
Li8 0.8962 0.9315 0.8990
S1 0.0040 0.7500 0.3855
S2 0.2162 0.7500 0.2780
S3 0.2838 0.2500 0.7780
S4 0.4960 0.2500 0.8855
S5 0.5040 0.7500 0.1145
S6 0.7162 0.7500 0.2220
S7 0.7838 0.2500 0.7220
S8 0.9960 0.2500 0.6145
O1 0.0078 0.1037 0.7742
O2 0.0078 0.3963 0.7742
O3 0.0542 0.2500 0.3636
O4 0.1181 0.7500 0.4996
O5 0.2008 0.2500 0.9703
O6 0.2061 0.6034 0.1245
O7 0.2061 0.8966 0.1245
O8 0.2939 0.1034 0.6245
O9 0.2939 0.3966 0.6245
O10 0.2992 0.7500 0.4703
O11 0.3819 0.2500 0.9996
O12 0.4458 0.7500 0.8636
O13 0.4922 0.6037 0.2742
O14 0.4922 0.8963 0.2742
O15 0.5078 0.1037 0.7258
O16 0.5078 0.3963 0.7258
O17 0.5542 0.2500 0.1364
O18 0.6181 0.7500 0.0004
O19 0.7008 0.2500 0.5297
O20 0.7061 0.6034 0.3755
O21 0.7061 0.8966 0.3755
O22 0.7939 0.1034 0.8755
O23 0.7939 0.3966 0.8755
O24 0.7992 0.7500 0.0297
O25 0.8819 0.2500 0.5004
O26 0.9458 0.7500 0.6364
O27 0.9922 0.6037 0.2258
O28 0.9922 0.8963 0.2258

Peak list (10 most intense, 2θ = 10–90°, by angle)
19.2 deg, I 13.9; 20.9 deg, I 100.0; 21.2 deg, I 69.1; 22.4 deg, I 18.0; 26.7 deg, I 32.8; 27.0 deg, I 17.6; 28.8 deg, I 49.9; 34.2 deg, I 40.7; 37.6 deg, I 12.7; 61.0 deg, I 10.4